(1)
Diffraction record for MoRh2Cl4. The powder XRD pattern is theoretical, not measured: it uses DFT lattice parameters and positions (PBE) and copper Kα.
Lines closer than 0.1° are merged.

Crystal structure
```
MoRh2Cl4
1.0
-2.581 2.581 6.081
2.581 -2.581 6.081
2.581 2.581 -6.081
Mo Rh Cl
1 2 4
direct
0.000 0.000 0.000
0.404 0.404 0.000
0.596 0.596 0.000
0.000 0.500 0.500
0.201 0.201 0.000
0.500 0.000 0.500
0.799 0.799 0.000
```

Most intense lines, 2θ from 15° to 90°, by angle:
2θ = 24.4°, d = 3.650 Å, intensity 100; 2θ = 34.8°, d = 2.581 Å, intensity 84; 2θ = 37.9°, d = 2.376 Å, intensity 22; 2θ = 41.0°, d = 2.200 Å, intensity 73; 2θ = 50.0°, d = 1.825 Å, intensity 28; 2θ = 54.8°, d = 1.674 Å, intensity 60; 2θ = 56.4°, d = 1.632 Å, intensity 19; 2θ = 66.6°, d = 1.405 Å, intensity 16; 2θ = 77.3°, d = 1.234 Å, intensity 21; 2θ = 83.8°, d = 1.154 Å, intensity 18

=====

(2)
Diffraction record for Ti4CoPt. The powder XRD pattern is theoretical, not measured: it uses DFT lattice parameters and positions (PBE) and copper Kα.
Lines closer than 0.1° are merged.

Crystal structure
```
Ti4CoPt
1.0
2.963 -2.959 0.000
2.963 2.959 0.000
-0.222 0.000 6.029
Ti Co Pt
4 1 1
direct
0.008 0.508 0.765
0.492 0.992 0.235
0.508 0.008 0.765
0.992 0.492 0.235
0.000 0.000 0.000
0.500 0.500 0.500
```

Most intense lines, 2θ from 15° to 90°, by angle:
2θ = 21.2°, d = 4.186 Å, intensity 39; 2θ = 25.6°, d = 3.481 Å, intensity 100; 2θ = 26.2°, d = 3.397 Å, intensity 94; 2θ = 33.7°, d = 2.656 Å, intensity 16; 2θ = 42.0°, d = 2.152 Å, intensity 40; 2θ = 42.8°, d = 2.112 Å, intensity 75; 2θ = 43.2°, d = 2.093 Å, intensity 74; 2θ = 43.6°, d = 2.074 Å, intensity 35; 2θ = 50.9°, d = 1.793 Å, intensity 31; 2θ = 62.8°, d = 1.480 Å, intensity 23

=====

(3)
Diffraction record for CeBiPd5. The powder XRD pattern is theoretical, not measured: it uses DFT lattice parameters and positions (PBE) and copper Kα.
Lines closer than 0.1° are merged.

Crystal structure
```
CeBiPd5
1.0
8.859 0.000 0.000
0.000 5.546 0.000
0.000 0.000 10.966
Ce Bi Pd
4 4 20
direct
0.243 0.250 0.047
0.257 0.750 0.547
0.743 0.250 0.453
0.757 0.750 0.953
0.150 0.250 0.347
0.350 0.750 0.847
0.650 0.250 0.153
0.850 0.750 0.653
0.067 0.504 0.806
0.067 0.996 0.806
0.080 0.250 0.585
0.095 0.750 0.024
0.178 0.750 0.271
0.322 0.250 0.771
0.405 0.250 0.524
0.420 0.750 0.085
0.433 0.004 0.306
0.433 0.496 0.306
0.567 0.504 0.694
0.567 0.996 0.694
0.580 0.250 0.915
0.595 0.750 0.476
0.678 0.750 0.229
0.822 0.250 0.729
0.905 0.250 0.976
0.920 0.750 0.415
0.933 0.004 0.194
0.933 0.496 0.194
```

Most intense lines, 2θ from 15° to 90°, by angle:
2θ = 32.3°, d = 2.773 Å, intensity 46; 2θ = 34.2°, d = 2.619 Å, intensity 78; 2θ = 35.4°, d = 2.536 Å, intensity 97; 2θ = 35.7°, d = 2.513 Å, intensity 47; 2θ = 38.3°, d = 2.352 Å, intensity 44; 2θ = 39.2°, d = 2.298 Å, intensity 100; 2θ = 41.6°, d = 2.171 Å, intensity 46; 2θ = 42.0°, d = 2.149 Å, intensity 54; 2θ = 42.2°, d = 2.144 Å, intensity 67; 2θ = 64.7°, d = 1.441 Å, intensity 29

=====

(4)
Diffraction record for La4PmCd. The powder XRD pattern is theoretical, not measured: it uses DFT lattice parameters and positions (PBE) and copper Kα.
Lines closer than 0.1° are merged.

Crystal structure
```
La4PmCd
1.0
3.776 0.000 0.000
0.000 3.776 0.000
0.000 0.000 14.380
La Pm Cd
4 1 1
direct
0.000 0.000 0.147
0.000 0.000 0.853
0.500 0.500 0.323
0.500 0.500 0.677
0.000 0.000 0.500
0.500 0.500 0.000
```

Most intense lines, 2θ from 15° to 90°, by angle:
2θ = 30.1°, d = 2.966 Å, intensity 100; 2θ = 33.6°, d = 2.670 Å, intensity 40; 2θ = 37.5°, d = 2.397 Å, intensity 12; 2θ = 48.2°, d = 1.888 Å, intensity 14; 2θ = 51.2°, d = 1.784 Å, intensity 19; 2θ = 57.9°, d = 1.593 Å, intensity 31; 2θ = 62.6°, d = 1.483 Å, intensity 10; 2θ = 63.2°, d = 1.471 Å, intensity 7; 2θ = 80.4°, d = 1.194 Å, intensity 6; 2θ = 83.2°, d = 1.161 Å, intensity 7

=====

(5)
Diffraction record for CaPaP. The powder XRD pattern is theoretical, not measured: it uses DFT lattice parameters and positions (PBE) and copper Kα.
Lines closer than 0.1° are merged.

Crystal structure
```
CaPaP
1.0
14.008 0.000 0.000
0.000 1.819 3.153
0.000 -1.819 3.153
Ca Pa P
2 2 2
direct
0.131 0.000 0.000
0.869 0.000 0.000
0.369 0.332 0.332
0.631 0.332 0.332
0.000 0.333 0.333
0.500 0.999 0.999
```

Most intense lines, 2θ from 15° to 90°, by angle:
2θ = 19.0°, d = 4.669 Å, intensity 29; 2θ = 25.4°, d = 3.502 Å, intensity 40; 2θ = 28.3°, d = 3.152 Å, intensity 80; 2θ = 29.0°, d = 3.075 Å, intensity 66; 2θ = 34.3°, d = 2.613 Å, intensity 100; 2θ = 38.4°, d = 2.343 Å, intensity 59; 2θ = 43.2°, d = 2.094 Å, intensity 29; 2θ = 50.1°, d = 1.820 Å, intensity 31; 2θ = 54.3°, d = 1.689 Å, intensity 21; 2θ = 57.0°, d = 1.615 Å, intensity 27